Entry 1:
# DyY2ErTh
Calculated X-ray diffraction stick pattern, λ = 1.5418 Å (Cu Kα). Input: a DFT-relaxed cell (GGA-PBE, Alexandria).
Kinematic intensities with the Lorentz-polarization factor, no thermal factor.

Structure:
Lattice parameters (Å, degrees): 8.5325 6.3416 6.2802 90.00 95.79 90.00
Fractional coordinates of all 10 atoms:
1 Dy 0.0000 0.0000 0.0000
2 Dy 0.0000 0.0000 0.5000
3 Y 0.3119 0.3003 0.2198
4 Y 0.3119 0.6997 0.7198
5 Y 0.6881 0.3003 0.2802
6 Y 0.6881 0.6997 0.7802
7 Er 0.5000 0.1821 0.7500
8 Er 0.5000 0.8179 0.2500
9 Th 0.0000 0.4462 0.7500
10 Th 0.0000 0.5538 0.2500

Top 10 peaks for 2θ from 10° to 80°, sorted by position:
2θ (°)  Rel. int.
10.42  30.6
20.93  54.8
27.99  32.7
28.57  23.5
30.10  100.0
31.93  28.0
32.73  33.3
32.93  21.5
34.60  34.7
43.34  23.8


Entry 2:
# DyY6Er2Th
Calculated X-ray diffraction stick pattern, λ = 1.5418 Å (Cu Kα). Input: a DFT-relaxed cell (GGA-PBE, Alexandria).
Kinematic intensities with the Lorentz-polarization factor, no thermal factor.

Structure:
Lattice parameters (Å, degrees): 8.8498 8.8498 9.2800 92.45 92.45 116.49
Fractional coordinates of all 20 atoms:
1 Dy 0.0848 0.9152 0.7500
2 Dy 0.9152 0.0848 0.2500
3 Y 0.0200 0.7873 0.3925
4 Y 0.0660 0.5062 0.1870
5 Y 0.2127 0.9800 0.1075
6 Y 0.2705 0.6187 0.5589
7 Y 0.3813 0.7295 0.9411
8 Y 0.4938 0.9340 0.3130
9 Y 0.5062 0.0660 0.6870
10 Y 0.6187 0.2705 0.0589
11 Y 0.7295 0.3813 0.4411
12 Y 0.7873 0.0200 0.8925
13 Y 0.9340 0.4938 0.8130
14 Y 0.9800 0.2127 0.6075
15 Er 0.1947 0.2986 0.9435
16 Er 0.2986 0.1947 0.4435
17 Er 0.7014 0.8053 0.5565
18 Er 0.8053 0.7014 0.0565
19 Th 0.4657 0.5343 0.2500
20 Th 0.5343 0.4657 0.7500

Top 10 peaks for 2θ from 10° to 80°, sorted by position:
2θ (°)  Rel. int.
11.76  63.2
28.49  68.5
28.69  60.2
30.29  61.5
30.76  100.0
31.24  47.5
31.35  89.2
31.63  70.3
32.54  82.8
53.30  39.2


Entry 3:
# Dy2ErTl4
Calculated X-ray diffraction stick pattern, λ = 1.5418 Å (Cu Kα). Input: a DFT-relaxed cell (GGA-PBE, Alexandria).
Kinematic intensities with the Lorentz-polarization factor, no thermal factor.

Structure:
Lattice parameters (Å, degrees): 10.5031 10.5031 10.5031 26.77 26.77 26.77
Fractional coordinates of all 7 atoms:
1 Dy 0.1289 0.1289 0.1289
2 Dy 0.8711 0.8711 0.8711
3 Er 0.0000 0.0000 0.0000
4 Tl 0.2436 0.2436 0.2436
5 Tl 0.3812 0.3812 0.3812
6 Tl 0.6188 0.6188 0.6188
7 Tl 0.7564 0.7564 0.7564

Top 10 peaks for 2θ from 10° to 80°, sorted by position:
2θ (°)  Rel. int.
25.75  15.9
31.74  100.0
36.97  71.7
44.35  9.6
49.51  29.4
52.92  19.5
63.37  28.2
66.31  10.1
66.63  13.1
78.42  12.3


Entry 4:
# Dy4Er5Tl2
Calculated X-ray diffraction stick pattern, λ = 1.5418 Å (Cu Kα). Input: a DFT-relaxed cell (GGA-PBE, Alexandria).
Kinematic intensities with the Lorentz-polarization factor, no thermal factor.

Structure:
Lattice parameters (Å, degrees): 11.3525 11.3525 9.1859 105.97 105.97 17.97
Fractional coordinates of all 11 atoms:
1 Dy 0.0175 0.0175 0.3166
2 Dy 0.3971 0.3971 0.3834
3 Dy 0.6029 0.6029 0.6166
4 Dy 0.9825 0.9825 0.6834
5 Er 0.1272 0.1272 0.9561
6 Er 0.1784 0.1784 0.3828
7 Er 0.5000 0.5000 0.0000
8 Er 0.8216 0.8216 0.6172
9 Er 0.8728 0.8728 0.0439
10 Tl 0.2643 0.2643 0.1721
11 Tl 0.7357 0.7357 0.8279

Top 10 peaks for 2θ from 10° to 80°, sorted by position:
2θ (°)  Rel. int.
26.98  33.0
27.85  31.6
29.54  36.4
30.34  32.8
31.93  62.8
32.63  100.0
33.59  38.4
33.76  27.9
36.03  71.5
51.54  24.0


Entry 5:
# Dy2Er3Tl3
Calculated X-ray diffraction stick pattern, λ = 1.5418 Å (Cu Kα). Input: a DFT-relaxed cell (GGA-PBE, Alexandria).
Kinematic intensities with the Lorentz-polarization factor, no thermal factor.

Structure:
Lattice parameters (Å, degrees): 11.6959 11.6959 11.6959 161.59 153.58 32.40
Fractional coordinates of all 8 atoms:
1 Dy 0.2352 0.2352 0.0000
2 Dy 0.7648 0.7648 0.0000
3 Er 0.0000 0.0000 0.0000
4 Er 0.3740 0.8740 0.5000
5 Er 0.6260 0.1260 0.5000
6 Tl 0.1187 0.6187 0.5000
7 Tl 0.5000 0.5000 0.0000
8 Tl 0.8813 0.3813 0.5000

Top 10 peaks for 2θ from 10° to 80°, sorted by position:
2θ (°)  Rel. int.
31.87  25.0
33.30  100.0
33.53  25.5
46.93  17.3
48.66  9.2
57.70  15.6
59.35  9.0
59.80  19.7
60.39  9.7
69.92  10.6


Entry 6:
# Dy6ErTl6
Calculated X-ray diffraction stick pattern, λ = 1.5418 Å (Cu Kα). Input: a DFT-relaxed cell (GGA-PBE, Alexandria).
Kinematic intensities with the Lorentz-polarization factor, no thermal factor.

Structure:
Lattice parameters (Å, degrees): 6.4274 6.4274 10.5443 90.00 90.00 120.00
Fractional coordinates of all 13 atoms:
1 Dy 0.0000 0.0000 0.1647
2 Dy 0.0000 0.0000 0.8353
3 Dy 0.3333 0.6667 0.0000
4 Dy 0.3333 0.6667 0.5000
5 Dy 0.6667 0.3333 0.0000
6 Dy 0.6667 0.3333 0.5000
7 Er 0.0000 0.0000 0.5000
8 Tl 0.0000 0.5000 0.2535
9 Tl 0.0000 0.5000 0.7465
10 Tl 0.5000 0.0000 0.2535
11 Tl 0.5000 0.0000 0.7465
12 Tl 0.5000 0.5000 0.2535
13 Tl 0.5000 0.5000 0.7465

Top 10 peaks for 2θ from 10° to 80°, sorted by position:
2θ (°)  Rel. int.
27.76  24.1
30.07  19.3
32.16  57.3
32.63  65.8
34.01  29.6
36.51  100.0
37.76  21.2
57.34  32.8
60.00  25.0
68.37  24.1


Entry 7:
# Dy4Er2Tl
Calculated X-ray diffraction stick pattern, λ = 1.5418 Å (Cu Kα). Input: a DFT-relaxed cell (GGA-PBE, Alexandria).
Kinematic intensities with the Lorentz-polarization factor, no thermal factor.

Structure:
Lattice parameters (Å, degrees): 5.6140 6.7418 11.6061 90.00 102.77 90.00
Fractional coordinates of all 14 atoms:
1 Dy 0.1142 0.2500 0.1432
2 Dy 0.2230 0.7500 0.4129
3 Dy 0.3348 0.5105 0.7063
4 Dy 0.3348 0.9895 0.7063
5 Dy 0.6652 0.0105 0.2937
6 Dy 0.6652 0.4895 0.2937
7 Dy 0.7770 0.2500 0.5871
8 Dy 0.8858 0.7500 0.8568
9 Er 0.2135 0.2500 0.4376
10 Er 0.4534 0.7500 0.0213
11 Er 0.5466 0.2500 0.9787
12 Er 0.7865 0.7500 0.5624
13 Tl 0.0129 0.7500 0.1411
14 Tl 0.9871 0.2500 0.8589

Top 10 peaks for 2θ from 10° to 80°, sorted by position:
2θ (°)  Rel. int.
26.44  34.8
30.88  49.1
31.21  56.7
31.63  100.0
31.89  82.9
32.24  86.2
33.07  44.4
33.32  46.2
35.71  33.5
41.68  32.7


Entry 8:
# DyEr3Tl
Calculated X-ray diffraction stick pattern, λ = 1.5418 Å (Cu Kα). Input: a DFT-relaxed cell (GGA-PBE, Alexandria).
Kinematic intensities with the Lorentz-polarization factor, no thermal factor.

Structure:
Lattice parameters (Å, degrees): 9.7535 9.7535 6.4858 100.35 100.35 84.12
Fractional coordinates of all 20 atoms:
1 Dy 0.0373 0.1719 0.4625
2 Dy 0.1719 0.0373 0.9625
3 Dy 0.8281 0.9627 0.0375
4 Dy 0.9627 0.8281 0.5375
5 Er 0.0919 0.7124 0.0236
6 Er 0.1239 0.4983 0.3596
7 Er 0.2294 0.3758 0.8583
8 Er 0.2876 0.9081 0.4764
9 Er 0.3758 0.2294 0.3583
10 Er 0.4983 0.1239 0.8596
11 Er 0.5017 0.8761 0.1404
12 Er 0.6242 0.7706 0.6417
13 Er 0.7124 0.0919 0.5236
14 Er 0.7706 0.6242 0.1417
15 Er 0.8761 0.5017 0.6404
16 Er 0.9081 0.2876 0.9764
17 Tl 0.3323 0.6677 0.7500
18 Tl 0.4172 0.5828 0.2500
19 Tl 0.5828 0.4172 0.7500
20 Tl 0.6677 0.3323 0.2500

Top 10 peaks for 2θ from 10° to 80°, sorted by position:
2θ (°)  Rel. int.
31.36  47.5
32.05  100.0
32.59  42.9
33.31  47.6
33.52  39.0
43.76  16.5
47.10  14.8
56.30  13.9
58.72  23.6
63.64  19.4